[1]
Starting from a structure optimized by DFT (PBE), the XRD peak list of LiSm2SbO6 was simulated for Cu Kα, 1.54184 Å.
Intensities are scaled so that the largest is 100.

Principal peaks in the range 5° ≤ 2θ ≤ 70°, most intense first:
- d 2.850, 31.39°, intensity 100
- d 2.829, 31.63°, intensity 95
- d 2.008, 45.16°, intensity 49
- d 4.015, 22.14°, intensity 45
- d 1.637, 56.18°, intensity 42
- d 4.625, 19.19°, intensity 33
- d 1.633, 56.34°, intensity 27
- d 1.801, 50.69°, intensity 22
- d 2.312, 38.95°, intensity 19
- d 1.649, 55.73°, intensity 17
- d 2.420, 37.16°, intensity 16
- d 1.414, 66.06°, intensity 14

Cell and atoms:
```
LiSm2SbO6
1.0
2.8287 1.6331 4.6712
-2.8287 1.6331 4.6712
0.0000 -3.2663 4.6712
Li Sm Sb O
1 2 1 6
direct
0.0000 0.0000 0.0000
0.2639 0.2639 0.2639
0.7654 0.7654 0.7654
0.4898 0.4898 0.4898
0.1468 0.7023 0.3513
0.2320 0.6315 0.8254
0.3513 0.1468 0.7023
0.6315 0.8254 0.2320
0.7023 0.3513 0.1468
0.8254 0.2320 0.6315
```

***

[2]
Starting from a structure optimized by DFT (PBE), the XRD peak list of LiTa2SbO8 was simulated for Cu Kα, 1.54184 Å.
Intensities are scaled so that the largest is 100.

Principal peaks in the range 5° ≤ 2θ ≤ 70°, most intense first:
- d 2.610, 34.37°, intensity 100
- d 3.405, 26.17°, intensity 67
- d 4.741, 18.71°, intensity 64
- d 3.303, 26.99°, intensity 60
- d 1.770, 51.66°, intensity 44
- d 1.740, 52.59°, intensity 40
- d 2.371, 37.95°, intensity 29
- d 3.778, 23.55°, intensity 29
- d 1.410, 66.27°, intensity 25
- d 2.303, 39.12°, intensity 21
- d 1.485, 62.53°, intensity 15
- d 1.564, 59.08°, intensity 13

Cell and atoms:
```
LiTa2SbO8
1.0
3.3030 -3.4048 0.0000
3.3030 3.4048 0.0000
0.0000 0.0000 6.2512
Li Ta Sb O
1 2 1 8
direct
0.0000 0.0000 0.0000
0.5000 0.5000 0.2394
0.5000 0.5000 0.7606
0.0000 0.0000 0.5000
0.2037 0.2037 0.2677
0.2037 0.2037 0.7323
0.3030 0.6970 0.5000
0.3139 0.6861 0.0000
0.6861 0.3139 0.0000
0.6970 0.3030 0.5000
0.7963 0.7963 0.2677
0.7963 0.7963 0.7323
```

***

[3]
Starting from a structure optimized by DFT (PBE), the XRD peak list of LiTaSb2O6 was simulated for Cu Kα, 1.54184 Å.
Intensities are scaled so that the largest is 100.

Principal peaks in the range 5° ≤ 2θ ≤ 70°, most intense first:
- d 2.907, 30.76°, intensity 100
- d 2.800, 31.96°, intensity 87
- d 4.516, 19.66°, intensity 87
- d 4.932, 17.99°, intensity 80
- d 4.846, 18.31°, intensity 75
- d 3.077, 29.01°, intensity 61
- d 2.085, 43.40°, intensity 47
- d 3.324, 26.82°, intensity 44
- d 2.258, 39.92°, intensity 32
- d 4.604, 19.28°, intensity 27
- d 1.958, 46.36°, intensity 27
- d 2.571, 34.90°, intensity 25

Cell and atoms:
```
LiTaSb2O6
1.0
4.6776 -3.3239 0.0000
4.6776 3.3239 0.0000
-3.8083 0.0000 4.8458
Li Ta Sb O
1 1 2 6
direct
0.0000 0.0000 0.0000
0.5823 0.4177 0.5000
0.1940 0.2856 0.7177
0.7144 0.8060 0.2823
0.3556 0.5426 0.6876
0.3998 0.0888 0.1977
0.4574 0.6444 0.3124
0.8149 0.1028 0.6700
0.8972 0.1851 0.3300
0.9112 0.6002 0.8023
```

***

[4]
Starting from a structure optimized by DFT (PBE), the XRD peak list of Li2TcSbO6 was simulated for Cu Kα, 1.54184 Å.
Intensities are scaled so that the largest is 100.

Principal peaks in the range 5° ≤ 2θ ≤ 70°, most intense first:
- d 3.958, 22.46°, intensity 100
- d 4.028, 22.07°, intensity 54
- d 2.823, 31.69°, intensity 48
- d 2.799, 31.98°, intensity 26
- d 1.979, 45.85°, intensity 25
- d 1.795, 50.86°, intensity 22
- d 1.776, 51.44°, intensity 20
- d 1.770, 51.63°, intensity 19
- d 1.621, 56.81°, intensity 19
- d 2.299, 39.19°, intensity 14
- d 1.635, 56.27°, intensity 11
- d 1.412, 66.20°, intensity 10

Cell and atoms:
```
Li2TcSbO6
1.0
5.5979 0.0000 0.0000
0.0000 5.5979 0.0000
0.0000 0.0000 4.0284
Li Tc Sb O
2 1 1 6
direct
0.0000 0.5000 0.0000
0.5000 0.0000 0.0000
0.0000 0.0000 0.7288
0.5000 0.5000 0.7682
0.0000 0.0000 0.2977
0.2423 0.2423 0.8322
0.2423 0.7577 0.8322
0.5000 0.5000 0.2801
0.7577 0.2423 0.8322
0.7577 0.7577 0.8322
```

***

[5]
Starting from a structure optimized by DFT (PBE), the XRD peak list of LiSbTe3O12 was simulated for Cu Kα, 1.54184 Å.
Intensities are scaled so that the largest is 100.

Principal peaks in the range 5° ≤ 2θ ≤ 70°, most intense first:
- d 3.693, 24.10°, intensity 100
- d 2.665, 33.63°, intensity 35
- d 2.561, 35.04°, intensity 23
- d 1.626, 56.61°, intensity 17
- d 1.846, 49.35°, intensity 16
- d 1.677, 54.72°, intensity 13
- d 1.680, 54.64°, intensity 13
- d 1.478, 62.86°, intensity 10
- d 2.105, 42.96°, intensity 10
- d 1.497, 62.00°, intensity 9
- d 1.561, 59.21°, intensity 7
- d 2.221, 40.62°, intensity 7

Cell and atoms:
```
LiSbTe3O12
1.0
5.1233 0.0000 0.0000
0.0006 5.3343 0.0000
0.0151 0.4345 7.3899
Li Sb Te O
1 1 3 12
direct
0.0000 0.0000 0.0000
0.4987 0.9217 0.2185
0.4948 0.9224 0.7097
0.9961 0.4278 0.7075
0.9988 0.4261 0.2152
0.1212 0.4049 0.9578
0.1676 0.1028 0.2597
0.1799 0.7397 0.6446
0.3065 0.2362 0.6420
0.3133 0.5972 0.2745
0.3692 0.9173 0.9568
0.6297 0.9245 0.4693
0.6864 0.6121 0.7798
0.7007 0.2305 0.1415
0.8095 0.1106 0.7768
0.8179 0.7340 0.1447
0.8613 0.4242 0.4626
```

***

[6]
Starting from a structure optimized by DFT (PBE), the XRD peak list of LiSbTe3O12 was simulated for Cu Kα, 1.54184 Å.
Intensities are scaled so that the largest is 100.

Principal peaks in the range 5° ≤ 2θ ≤ 70°, most intense first:
- d 4.267, 20.82°, intensity 100
- d 4.467, 19.87°, intensity 42
- d 2.762, 32.42°, intensity 30
- d 2.735, 32.75°, intensity 28
- d 2.504, 35.87°, intensity 18
- d 2.247, 40.13°, intensity 13
- d 1.762, 51.88°, intensity 13
- d 2.218, 40.68°, intensity 12
- d 1.748, 52.34°, intensity 12
- d 2.620, 34.23°, intensity 10
- d 1.489, 62.36°, intensity 9
- d 1.615, 57.01°, intensity 7

Cell and atoms:
```
LiSbTe3O12
1.0
4.9228 0.0000 0.0000
0.0000 8.5504 0.0000
-0.0887 0.0000 5.2391
Li Sb Te O
1 1 3 12
direct
0.0000 0.0000 0.0000
0.0000 0.6155 0.0000
0.0000 0.7936 0.5000
0.5000 0.1153 0.5000
0.5000 0.3082 0.0000
0.2019 0.7980 0.8185
0.2157 0.6372 0.3241
0.2412 0.9635 0.3582
0.2520 0.4568 0.8583
0.2879 0.1359 0.8159
0.2887 0.2781 0.3113
0.7113 0.2781 0.6887
0.7121 0.1359 0.1841
0.7480 0.4568 0.1417
0.7588 0.9635 0.6418
0.7843 0.6372 0.6759
0.7981 0.7980 0.1815
```

***

Which formula does entry 6 have? LiSbTe3O12

***

Which formula does entry 3 have? LiTaSb2O6